Structure and calculated PXRD pattern of K2VCuS2 (DFT lattice parameters and positions (PBE); CuKα).
No peak broadening, texture or thermal motion is included.

Top 10 peaks for 10° ≤ 2θ ≤ 90°, in order of rising 2θ:
(0 4 0), d = 3.460 Å, I = 100; (1 1 9), d = 3.423 Å, I = 24; (0 4 4), d = 3.283 Å, I = 32; (1 3 9), d = 2.805 Å, I = 10; (0 4 12), d = 2.444 Å, I = 13; (2 2 6), d = 2.400 Å, I = 65; (2 2 10), d = 2.177 Å, I = 43; (2 6 6), d = 1.713 Å, I = 34; (2 6 10), d = 1.627 Å, I = 14; (0 4 24), d = 1.544 Å, I = 11

Crystal structure
```
data_K2VCuS2
_chemical_formula_sum 'K32 V16 Cu16 S32'
_space_group_name_H-M_alt 'F d d d'
_space_group_IT_number 70
_cell_length_a 5.508
_cell_length_b 13.848
_cell_length_c 41.416
_cell_angle_alpha 90.00
_cell_angle_beta 90.00
_cell_angle_gamma 90.00
loop_
_space_group_symop_operation_xyz
'x,y,z'
'-x,-y,-z'
'-x+1/4,-y+1/4,z'
'x+1/4,y+1/4,-z'
'x,-y+1/4,-z+1/4'
'-x,y+1/4,z+1/4'
'-x+1/4,y,-z+1/4'
'x+1/4,-y,z+1/4'
'x,y+1/2,z+1/2'
'-x,-y+1/2,-z+1/2'
'-x+1/4,-y+3/4,z+1/2'
'x+1/4,y+3/4,-z+1/2'
'x,-y+3/4,-z+3/4'
'-x,y+3/4,z+3/4'
'-x+1/4,y+1/2,-z+3/4'
'x+1/4,-y+1/2,z+3/4'
'x+1/2,y,z+1/2'
'-x+1/2,-y,-z+1/2'
'-x+3/4,-y+1/4,z+1/2'
'x+3/4,y+1/4,-z+1/2'
'x+1/2,-y+1/4,-z+3/4'
'-x+1/2,y+1/4,z+3/4'
'-x+3/4,y,-z+3/4'
'x+3/4,-y,z+3/4'
'x+1/2,y+1/2,z'
'-x+1/2,-y+1/2,-z'
'-x+3/4,-y+3/4,z'
'x+3/4,y+3/4,-z'
'x+1/2,-y+3/4,-z+1/4'
'-x+1/2,y+3/4,z+1/4'
'-x+3/4,y+1/2,-z+1/4'
'x+3/4,-y+1/2,z+1/4'
loop_
_atom_site_label
_atom_site_type_symbol
_atom_site_fract_x
_atom_site_fract_y
_atom_site_fract_z
_atom_site_occupancy
K1 K 0.013 0.260 0.424 1
V1 V 0.000 0.000 0.000 1
Cu1 Cu 0.000 0.000 0.500 1
S1 S 0.010 0.000 0.707 1
```